# 1
Sr2ZnNi9: simulated powder diffractogram (Cu Kα (λ = 1.5418 Å)), based on a PBE-relaxed structure.
Lines closer than 0.1° are merged.

Atomic structure:
```
Sr2ZnNi9
1.0
2.4844 1.4344 8.3046
-2.4844 1.4344 8.3046
0.0000 -2.8688 8.3046
Sr Zn Ni
2 1 9
direct
0.1368 0.1368 0.1368
0.8632 0.8632 0.8632
0.0000 0.0000 0.0000
0.0807 0.5754 0.5754
0.3323 0.3323 0.3323
0.4246 0.4246 0.9193
0.4246 0.9193 0.4246
0.5000 0.5000 0.5000
0.5754 0.0807 0.5754
0.5754 0.5754 0.0807
0.6677 0.6677 0.6677
0.9193 0.4246 0.4246
```

Largest 10 diffraction maxima, in order of rising 2θ, 5 to 70 degrees two-theta:
2θ (°)	I_rel
32.65	28
35.59	35
36.15	35
42.16	37
42.40	100
42.64	16
43.59	18
45.24	20
45.94	33
69.31	21

---

# 2
SrZrNi: simulated powder diffractogram (Cu Kα (λ = 1.5418 Å)), based on a PBE-relaxed structure.
Lines closer than 0.1° are merged.

Atomic structure:
```
SrZrNi
1.0
3.8326 0.0000 0.0000
-1.9163 3.3191 0.0000
0.0000 0.0000 6.5981
Sr Zr Ni
1 1 1
direct
0.0000 0.0000 0.0000
0.6667 0.3333 0.5012
0.3333 0.6667 0.6794
```

Largest 10 diffraction maxima, in order of rising 2θ, 5 to 70 degrees two-theta:
2θ (°)	I_rel
13.42	19
27.03	17
30.14	100
38.47	35
47.44	29
49.73	24
55.45	14
57.24	16
62.66	8
62.92	6

---

# 3
Ta5Ni: simulated powder diffractogram (Cu Kα (λ = 1.5418 Å)), based on a PBE-relaxed structure.
Lines closer than 0.1° are merged.

Atomic structure:
```
Ta5Ni
1.0
10.2985 0.0000 0.0000
0.0000 3.3379 0.0000
-1.9638 0.0000 5.9945
Ta Ni
10 2
direct
0.0000 0.0000 0.0000
0.1617 0.5000 0.3348
0.1640 0.5000 0.8269
0.3360 0.0000 0.1731
0.3383 0.0000 0.6652
0.5000 0.5000 0.0000
0.6617 0.0000 0.3348
0.6640 0.0000 0.8269
0.8360 0.5000 0.1731
0.8383 0.5000 0.6652
0.0000 0.0000 0.5000
0.5000 0.5000 0.5000
```

Largest 10 diffraction maxima, in order of rising 2θ, 5 to 70 degrees two-theta:
2θ (°)	I_rel
14.78	5
28.25	4
38.59	100
39.30	95
39.64	46
39.86	46
55.02	19
56.41	16
58.53	15
69.92	18

---

# 4
TaNi: simulated powder diffractogram (Cu Kα (λ = 1.5418 Å)), based on a PBE-relaxed structure.
Lines closer than 0.1° are merged.

Atomic structure:
```
TaNi
1.0
2.8276 0.0000 0.0000
0.0000 4.4923 0.0000
0.0000 0.0000 9.1925
Ta Ni
4 4
direct
0.0000 0.2500 0.1143
0.0000 0.7500 0.8857
0.5000 0.2500 0.3857
0.5000 0.7500 0.6143
0.0000 0.2500 0.6392
0.0000 0.7500 0.3608
0.5000 0.2500 0.8608
0.5000 0.7500 0.1392
```

Largest 10 diffraction maxima, in order of rising 2θ, 5 to 70 degrees two-theta:
2θ (°)	I_rel
22.02	21
33.15	15
35.46	19
39.20	30
40.15	30
42.59	100
53.01	8
57.36	19
60.02	6
66.09	7

---

# 5
Ta3Ni: simulated powder diffractogram (Cu Kα (λ = 1.5418 Å)), based on a PBE-relaxed structure.
Lines closer than 0.1° are merged.

Atomic structure:
```
Ta3Ni
1.0
9.0515 0.0000 0.0000
-4.5257 7.8388 0.0000
0.0000 0.0000 2.8046
Ta Ni
9 3
direct
0.0000 0.5000 0.0000
0.1667 0.3333 0.3333
0.1667 0.8333 0.3333
0.3333 0.1667 0.6667
0.5000 0.0000 0.0000
0.5000 0.5000 0.0000
0.6667 0.8333 0.3333
0.8333 0.1667 0.6667
0.8333 0.6667 0.6667
0.0000 0.0000 0.0000
0.3333 0.6667 0.6667
0.6667 0.3333 0.3333
```

Largest 10 diffraction maxima, in order of rising 2θ, 5 to 70 degrees two-theta:
2θ (°)	I_rel
19.62	20
33.95	5
34.32	5
39.51	100
39.84	98
44.48	5
53.32	3
53.57	3
57.36	34
61.23	2

---

# 6
Ta5Ni: simulated powder diffractogram (Cu Kα (λ = 1.5418 Å)), based on a PBE-relaxed structure.
Lines closer than 0.1° are merged.

Atomic structure:
```
Ta5Ni
1.0
0.0000 5.9503 5.9503
5.9503 0.0000 5.9503
5.9503 5.9503 0.0000
Ta Ni
20 4
direct
0.1341 0.7886 0.7886
0.1876 0.1876 0.5624
0.1876 0.5624 0.1876
0.1876 0.5624 0.5624
0.2114 0.2114 0.2114
0.2114 0.2114 0.8659
0.2114 0.8659 0.2114
0.4376 0.4376 0.8124
0.4376 0.8124 0.4376
0.4376 0.8124 0.8124
0.5624 0.1876 0.1876
0.5624 0.1876 0.5624
0.5624 0.5624 0.1876
0.7886 0.1341 0.7886
0.7886 0.7886 0.1341
0.7886 0.7886 0.7886
0.8124 0.4376 0.4376
0.8124 0.4376 0.8124
0.8124 0.8124 0.4376
0.8659 0.2114 0.2114
0.0000 0.0000 0.0000
0.0000 0.0000 0.5000
0.0000 0.5000 0.0000
0.5000 0.0000 0.0000
```

Largest 10 diffraction maxima, in order of rising 2θ, 5 to 70 degrees two-theta:
2θ (°)	I_rel
25.94	11
32.80	4
37.01	34
39.34	100
42.99	16
45.74	10
55.11	6
59.68	7
66.69	37
68.25	8

---

# 7
TaNi: simulated powder diffractogram (Cu Kα (λ = 1.5418 Å)), based on a PBE-relaxed structure.
Lines closer than 0.1° are merged.

Atomic structure:
```
TaNi
1.0
4.9648 0.0000 0.0000
-2.4824 4.2996 0.0000
0.0000 0.0000 8.0966
Ta Ni
6 6
direct
0.0000 0.0000 0.0000
0.0000 0.0000 0.5000
0.3333 0.6667 0.0666
0.3333 0.6667 0.4334
0.6667 0.3333 0.5666
0.6667 0.3333 0.9334
0.1732 0.3464 0.7500
0.1732 0.8268 0.7500
0.3464 0.1732 0.2500
0.6536 0.8268 0.7500
0.8268 0.1732 0.2500
0.8268 0.6536 0.2500
```

Largest 10 diffraction maxima, in order of rising 2θ, 5 to 70 degrees two-theta:
2θ (°)	I_rel
21.96	19
23.43	8
36.19	76
39.42	68
42.73	100
43.56	35
49.79	13
65.08	14
67.25	26
69.59	25

---

# 8
TaNi: simulated powder diffractogram (Cu Kα (λ = 1.5418 Å)), based on a PBE-relaxed structure.
Lines closer than 0.1° are merged.

Atomic structure:
```
TaNi
1.0
4.9288 0.0000 0.0000
0.0000 4.9288 0.0000
0.0000 0.0000 4.9288
Ta Ni
4 4
direct
0.0906 0.0906 0.0906
0.4094 0.9094 0.5906
0.5906 0.4094 0.9094
0.9094 0.5906 0.4094
0.1013 0.6013 0.8987
0.3987 0.3987 0.3987
0.6013 0.8987 0.1013
0.8987 0.1013 0.6013
```

Largest 10 diffraction maxima, in order of rising 2θ, 5 to 70 degrees two-theta:
2θ (°)	I_rel
25.56	22
31.44	25
36.46	16
40.94	100
45.06	46
55.97	13
59.29	10
62.50	8
65.62	3
68.66	8

---

# 9
TaNi5: simulated powder diffractogram (Cu Kα (λ = 1.5418 Å)), based on a PBE-relaxed structure.
Lines closer than 0.1° are merged.

Atomic structure:
```
TaNi5
1.0
8.1533 0.0000 0.0000
0.0000 3.5941 0.0000
-1.6697 0.0000 4.8675
Ta Ni
2 10
direct
0.0000 0.0000 0.0000
0.5000 0.5000 0.0000
0.0000 0.0000 0.5000
0.1641 0.5000 0.8217
0.1687 0.5000 0.3372
0.3313 0.0000 0.6628
0.3359 0.0000 0.1783
0.5000 0.5000 0.5000
0.6641 0.0000 0.8217
0.6687 0.0000 0.3372
0.8313 0.5000 0.6628
0.8359 0.5000 0.1783
```

Largest 10 diffraction maxima, in order of rising 2θ, 5 to 70 degrees two-theta:
2θ (°)	I_rel
18.23	9
23.06	7
24.36	6
27.38	8
30.87	7
35.19	5
43.26	100
49.91	16
50.42	16
50.81	15

---

# 10
TaNi2: simulated powder diffractogram (Cu Kα (λ = 1.5418 Å)), based on a PBE-relaxed structure.
Lines closer than 0.1° are merged.

Atomic structure:
```
TaNi2
1.0
7.2424 0.0000 0.0000
-3.6212 6.2721 0.0000
0.0000 0.0000 2.6649
Ta Ni
3 6
direct
0.0000 0.0000 0.0000
0.3333 0.6667 0.5000
0.6667 0.3333 0.5000
0.0000 0.3122 0.5000
0.0000 0.6467 0.0000
0.3122 0.0000 0.5000
0.3533 0.3533 0.0000
0.6467 0.0000 0.0000
0.6878 0.6878 0.5000
```

Largest 10 diffraction maxima, in order of rising 2θ, 5 to 70 degrees two-theta:
2θ (°)	I_rel
24.58	62
36.64	42
42.10	37
43.28	100
44.62	38
50.40	10
51.60	41
61.96	10
63.91	13
68.56	9

---

# 11
ThTaNi4: simulated powder diffractogram (Cu Kα (λ = 1.5418 Å)), based on a PBE-relaxed structure.
Lines closer than 0.1° are merged.

Atomic structure:
```
ThTaNi4
1.0
0.0000 3.5449 3.5449
3.5449 0.0000 3.5449
3.5449 3.5449 0.0000
Th Ta Ni
1 1 4
direct
0.0000 0.0000 0.0000
0.2500 0.2500 0.2500
0.1292 0.6236 0.6236
0.6236 0.1292 0.6236
0.6236 0.6236 0.1292
0.6236 0.6236 0.6236
```

Largest 9 diffraction maxima, in order of rising 2θ, 5 to 70 degrees two-theta:
2θ (°)	I_rel
21.71	25
25.12	1
35.82	74
42.28	100
44.26	12
51.56	2
56.59	7
64.38	28
68.81	31

---

# 12
ThTaNi: simulated powder diffractogram (Cu Kα (λ = 1.5418 Å)), based on a PBE-relaxed structure.
Lines closer than 0.1° are merged.

Atomic structure:
```
ThTaNi
1.0
0.0000 4.6367 9.1952
2.7495 0.0000 9.1952
2.7495 4.6367 0.0000
Th Ta Ni
4 4 4
direct
0.0460 0.7040 0.0460
0.2960 0.9540 0.2960
0.7040 0.0460 0.7040
0.9540 0.2960 0.9540
0.2942 0.2942 0.4558
0.4558 0.4558 0.2942
0.5442 0.5442 0.7058
0.7058 0.7058 0.5442
0.0006 0.0006 0.2494
0.2494 0.2494 0.0006
0.7506 0.7506 0.9994
0.9994 0.9994 0.7506
```

Largest 10 diffraction maxima, in order of rising 2θ, 5 to 70 degrees two-theta:
2θ (°)	I_rel
30.79	48
33.61	100
34.03	89
35.10	74
36.42	56
39.22	69
43.01	66
43.73	24
60.35	35
60.61	27

---

# 13
TaTi3Ni2: simulated powder diffractogram (Cu Kα (λ = 1.5418 Å)), based on a PBE-relaxed structure.
Lines closer than 0.1° are merged.

Atomic structure:
```
TaTi3Ni2
1.0
2.9297 0.0000 0.0000
0.0000 2.9297 0.0000
0.0000 0.0000 10.5011
Ta Ti Ni
1 3 2
direct
0.0000 0.0000 0.0000
0.5000 0.5000 0.1956
0.5000 0.5000 0.5000
0.5000 0.5000 0.8044
0.0000 0.0000 0.3469
0.0000 0.0000 0.6531
```

Largest 10 diffraction maxima, in order of rising 2θ, 5 to 70 degrees two-theta:
2θ (°)	I_rel
8.42	36
16.89	13
25.45	13
30.51	15
31.71	14
35.07	20
40.14	100
43.69	42
52.27	9
63.51	13

---

# 14
TaTi4Ni15: simulated powder diffractogram (Cu Kα (λ = 1.5418 Å)), based on a PBE-relaxed structure.
Lines closer than 0.1° are merged.

Atomic structure:
```
TaTi4Ni15
1.0
3.6198 0.0000 0.0000
0.0000 3.6198 0.0000
0.0000 0.0000 18.1824
Ta Ti Ni
1 4 15
direct
0.0000 0.0000 0.0000
0.0000 0.0000 0.2038
0.0000 0.0000 0.4012
0.0000 0.0000 0.5988
0.0000 0.0000 0.7962
0.0000 0.5000 0.1022
0.0000 0.5000 0.3016
0.0000 0.5000 0.5000
0.0000 0.5000 0.6984
0.0000 0.5000 0.8978
0.5000 0.0000 0.1022
0.5000 0.0000 0.3016
0.5000 0.0000 0.5000
0.5000 0.0000 0.6984
0.5000 0.0000 0.8978
0.5000 0.5000 0.0000
0.5000 0.5000 0.2016
0.5000 0.5000 0.4007
0.5000 0.5000 0.5993
0.5000 0.5000 0.7984
```

Largest 10 diffraction maxima, in order of rising 2θ, 5 to 70 degrees two-theta:
2θ (°)	I_rel
9.73	7
14.62	3
25.08	4
26.50	3
28.73	3
31.60	2
40.44	2
43.22	100
50.17	16
50.42	31